The following is a theoretical PXRD pattern of BaCaOs3. It was derived from a PBE-relaxed structure, using Cu Kα (weighted mean of Kα1 and Kα2).
No peak broadening, texture or thermal motion is included.

Most intense lines, 2θ = 10–90°, in order of rising 2θ:
- 2θ 17.3, I = 78.8, (1 0 0)
- 2θ 30.2, I = 80.6, (1 1 1)
- 2θ 35.0, I = 100.0, (2 0 0)
- 2θ 39.3, I = 41.4, (2 1 0)
- 2θ 50.3, I = 71.6, (2 2 0)
- 2θ 53.6, I = 21.4, (3 0 0)
- 2θ 59.8, I = 35.5, (3 1 1)
- 2θ 62.8, I = 24.7, (2 2 2)
- 2θ 81.9, I = 14.6, (3 3 1)
- 2θ 84.5, I = 33.0, (4 2 0)

Cell and atoms:
Unit cell a=5.126 b=5.126 c=5.126 alpha=90.00 beta=90.00 gamma=90.00
Space group Pm-3m (No. 221)
Inequivalent atoms, fractional coordinates:
1 Ba 0.000 0.000 0.000
2 Ca 0.500 0.500 0.500
3 Os 0.000 0.000 0.500

The following is a theoretical PXRD pattern of BaBeH6Pt. It was derived from a PBE-relaxed structure, using Cu Kα (weighted mean of Kα1 and Kα2).
No peak broadening, texture or thermal motion is included.

Most intense lines, 2θ = 10–90°, in order of rising 2θ:
- 2θ 22.5, I = 29.2, (1 0 0)
- 2θ 28.5, I = 100.0, (1 0 1)
- 2θ 34.8, I = 12.8, (0 0 2)
- 2θ 39.5, I = 28.1, (1 1 0)
- 2θ 41.9, I = 12.3, (1 0 2)
- 2θ 49.4, I = 21.8, (2 0 1)
- 2θ 53.7, I = 23.8, (1 1 2)
- 2θ 58.6, I = 13.2, (1 0 3)
- 2θ 65.0, I = 19.5, (2 1 1)
- 2θ 86.4, I = 9.2, (2 1 3)

Cell and atoms:
Unit cell a=4.5609 b=4.5609 c=5.1496 alpha=90.00 beta=90.00 gamma=120.00
Space group P-6m2 (No. 187)
Inequivalent atoms, fractional coordinates:
1 Ba 0.0000 0.0000 0.0000
2 Be 0.6667 0.3333 0.5000
3 H 0.5082 0.0163 0.2883
4 Pt 0.3333 0.6667 0.5000